Nd7Ho12Pb: calculated PXRD pattern (Cu Kα X-rays), based on a cell relaxed with GGA-PBE.

Cell lengths 6.1862, 9.4423, 11.2331 Å; angles 83.30, 79.75, 89.95 degrees
Fractional coordinates of all 20 atoms:
Nd: 0.0000 0.0000 0.0000
Nd: 0.1507 0.3529 0.0556
Nd: 0.2063 0.8030 0.4001
Nd: 0.2466 0.2536 0.7492
Nd: 0.7534 0.7464 0.2508
Nd: 0.7937 0.1970 0.5999
Nd: 0.8493 0.6471 0.9444
Ho: 0.0532 0.4506 0.3559
Ho: 0.0936 0.9033 0.6978
Ho: 0.3010 0.7001 0.0959
Ho: 0.3494 0.1524 0.4503
Ho: 0.4007 0.6003 0.7924
Ho: 0.4516 0.0518 0.1525
Ho: 0.5484 0.9482 0.8475
Ho: 0.5993 0.3997 0.2076
Ho: 0.6506 0.8476 0.5497
Ho: 0.6990 0.2999 0.9041
Ho: 0.9064 0.0967 0.3022
Ho: 0.9468 0.5494 0.6441
Pb: 0.5000 0.5000 0.5000

Peak list (10 most intense, 10° ≤ 2θ ≤ 80°, low angle first)
30.7 deg, rel. 1000
30.8 deg, rel. 328
35.5 deg, rel. 227
35.6 deg, rel. 224
35.7 deg, rel. 221
51.1 deg, rel. 161
51.2 deg, rel. 159
51.4 deg, rel. 156
60.7 deg, rel. 144
60.9 deg, rel. 141

=====

NdHoPdPb: calculated PXRD pattern (Cu Kα X-rays), based on a cell relaxed with GGA-PBE.

Cell lengths 5.2857, 5.2857, 5.2857 Å; angles 60.00, 60.00, 60.00 degrees
Fractional coordinates of all 4 atoms:
Nd: 0.0000 0.0000 0.0000
Ho: 0.5000 0.5000 0.5000
Pd: 0.2500 0.2500 0.2500
Pb: 0.7500 0.7500 0.7500

Peak list (9 most intense, 10° ≤ 2θ ≤ 80°, low angle first)
20.6 deg, rel. 53
33.9 deg, rel. 1000
40.0 deg, rel. 33
48.7 deg, rel. 182
53.4 deg, rel. 15
60.7 deg, rel. 377
64.8 deg, rel. 12
71.4 deg, rel. 117
75.2 deg, rel. 12

=====

Tb6Nd3Ho2Pb: calculated PXRD pattern (Cu Kα X-rays), based on a cell relaxed with GGA-PBE.

Cell lengths 6.1826, 6.1826, 11.7204 Å; angles 95.09, 95.09, 120.02 degrees
Fractional coordinates of all 12 atoms:
Tb: 0.0804 0.4076 0.2435
Tb: 0.2469 0.2469 0.7544
Tb: 0.4076 0.0804 0.2435
Tb: 0.5924 0.9196 0.7565
Tb: 0.7531 0.7531 0.2456
Tb: 0.9196 0.5924 0.7565
Nd: 0.1682 0.8318 0.5000
Nd: 0.5000 0.5000 0.5000
Nd: 0.8318 0.1682 0.5000
Ho: 0.3344 0.6656 0.0000
Ho: 0.6656 0.3344 0.0000
Pb: 0.0000 0.0000 0.0000

Peak list (10 most intense, 10° ≤ 2θ ≤ 80°, low angle first)
30.7 deg, rel. 1000
31.0 deg, rel. 322
35.7 deg, rel. 668
51.2 deg, rel. 241
51.6 deg, rel. 232
60.9 deg, rel. 143
61.0 deg, rel. 188
61.1 deg, rel. 93
61.4 deg, rel. 136
64.0 deg, rel. 123